1.
Diffraction record for KCd. The X-ray powder pattern is simulated, not measured: it uses DFT lattice parameters and positions (PBE) and Cu Kα.

Structure:
```
data_KCd
_space_group_name_H-M_alt 'R -3 m'
_space_group_IT_number 166
_space_group_name_Hall '-R 3 2"'
_cell_length_a 5.2973
_cell_length_b 5.2973
_cell_length_c 20.1641
_cell_angle_alpha 90.00
_cell_angle_beta 90.00
_cell_angle_gamma 120.00
loop_
_atom_site_label
_atom_site_fract_x
_atom_site_fract_y
_atom_site_fract_z
K1 0.0000 0.0000 0.1008
Cd1 0.0000 0.0000 0.3327
```

Most intense lines, 10 to 90 degrees two-theta, in order of rising 2θ:
(0 0 3), 2θ = 13.17°, intensity 100
(0 1 2), 2θ = 21.28°, intensity 21
(1 0 4), 2θ = 26.27°, intensity 48
(0 1 5), 2θ = 29.49°, intensity 45
(1 1 0), 2θ = 33.84°, intensity 74
(1 1 3), 2θ = 36.46°, intensity 52
(1 1 6), 2θ = 43.50°, intensity 21
(1 1 9), 2θ = 53.58°, intensity 37

***

2.
Diffraction record for Pr3Si. The X-ray powder pattern is simulated, not measured: it uses DFT lattice parameters and positions (PBE) and Cu Kα.

Structure:
```
data_Pr3Si
_space_group_name_H-M_alt 'P 42/n'
_space_group_IT_number 86
_cell_length_a 12.4837
_cell_length_b 12.4837
_cell_length_c 6.1802
_cell_angle_alpha 90.00
_cell_angle_beta 90.00
_cell_angle_gamma 90.00
loop_
_space_group_symop_operation_xyz
'x,y,z'
'-x,-y,-z'
'-y,x+1/2,z+1/2'
'y,-x+1/2,-z+1/2'
'-x+1/2,-y+1/2,z'
'x+1/2,y+1/2,-z'
'y+1/2,-x,z+1/2'
'-y+1/2,x,-z+1/2'
loop_
_atom_site_label
_atom_site_fract_x
_atom_site_fract_y
_atom_site_fract_z
Pr1 0.0284 0.5739 0.2427
Pr2 0.1147 0.2165 0.0149
Pr3 0.1339 0.6686 0.7319
Si1 0.0469 0.2050 0.5259
```

Most intense lines, 10 to 90 degrees two-theta, in order of rising 2θ:
(3 1 1), 2θ = 26.80°, intensity 39
(2 3 1), 2θ = 29.57°, intensity 100
(3 3 0), 2θ = 30.38°, intensity 24
(1 1 2), 2θ = 30.65°, intensity 59
(2 4 0), 2θ = 32.08°, intensity 60
(4 1 1), 2θ = 32.94°, intensity 72
(1 3 2), 2θ = 36.94°, intensity 31
(3 5 2), 2θ = 51.96°, intensity 27

***

3.
Diffraction record for Er2Al2SnRh5. The X-ray powder pattern is simulated, not measured: it uses DFT lattice parameters and positions (PBE) and Cu Kα.

Structure:
```
data_Er2Al2SnRh5
_space_group_name_H-M_alt 'P 4/m b m'
_space_group_IT_number 127
_space_group_name_Hall '-P 4 2ab'
_cell_length_a 9.8572
_cell_length_b 9.8572
_cell_length_c 3.5251
_cell_angle_alpha 90.00
_cell_angle_beta 90.00
_cell_angle_gamma 90.00
loop_
_atom_site_label
_atom_site_fract_x
_atom_site_fract_y
_atom_site_fract_z
Er1 0.1751 0.3249 0.0000
Al1 0.1219 0.6219 0.0000
Sn1 0.0000 0.0000 0.0000
Rh1 0.0000 0.5000 0.5000
Rh2 0.0695 0.7913 0.5000
```

Most intense lines, 10 to 90 degrees two-theta, in order of rising 2θ:
(2 1 1), 2θ = 32.52°, intensity 57
(2 2 1), 2θ = 36.25°, intensity 29
(4 1 0), 2θ = 37.62°, intensity 62
(3 1 1), 2θ = 38.56°, intensity 100
(4 2 0), 2θ = 40.95°, intensity 23
(3 2 1), 2θ = 41.81°, intensity 26
(0 0 2), 2θ = 51.88°, intensity 21
(4 1 2), 2θ = 65.83°, intensity 24

***

4.
Diffraction record for GeP2Pd2. The X-ray powder pattern is simulated, not measured: it uses DFT lattice parameters and positions (PBE) and Cu Kα.

Structure:
```
data_GeP2Pd2
_space_group_name_H-M_alt 'I 4/m m m'
_space_group_IT_number 139
_space_group_name_Hall '-I 4 2'
_cell_length_a 3.4739
_cell_length_b 3.4739
_cell_length_c 13.4132
_cell_angle_alpha 90.00
_cell_angle_beta 90.00
_cell_angle_gamma 90.00
loop_
_atom_site_label
_atom_site_fract_x
_atom_site_fract_y
_atom_site_fract_z
Ge1 0.0000 0.0000 0.0000
P1 0.0000 0.5000 0.2500
Pd1 0.0000 0.0000 0.3979
```

Most intense lines, 10 to 90 degrees two-theta, in order of rising 2θ:
(1 0 1), 2θ = 26.51°, intensity 43
(1 0 3), 2θ = 32.64°, intensity 56
(1 1 0), 2θ = 36.58°, intensity 48
(1 1 2), 2θ = 39.05°, intensity 59
(1 0 5), 2θ = 42.58°, intensity 100
(1 1 4), 2θ = 45.79°, intensity 26
(2 0 0), 2θ = 52.70°, intensity 38
(2 1 5), 2θ = 69.98°, intensity 44